Starting from a structure optimized by DFT (GGA-PBE), the PXRD pattern of BaCd8As6 was simulated for Cu Kα (weighted mean of Kα1 and Kα2).
Intensities are scaled so that the largest is 100.

Cell and atoms:
a b c (Å): 7.6802 7.6802 22.5250
angles (deg): 90.00 90.00 120.00
Space group R-3 (No. 148, hexagonal axes)
Inequivalent atoms, fractional coordinates:
Ba1 0.0000 0.0000 0.0000 (multiplicity 3)
Cd1 0.0000 0.0000 0.3316 (multiplicity 6)
Cd2 0.0062 0.6848 0.1248 (multiplicity 18)
As1 0.0053 0.6480 0.9200 (multiplicity 18)

Most intense lines, 2θ = 10–90°, by angle:
- 26.06°, d 3.419, rel. 87
- 33.38°, d 2.684, rel. 100
- 35.89°, d 2.502, rel. 13
- 40.70°, d 2.217, rel. 82
- 43.14°, d 2.097, rel. 43
- 48.97°, d 1.860, rel. 15
- 53.61°, d 1.709, rel. 24
- 55.36°, d 1.660, rel. 17
- 60.80°, d 1.523, rel. 14
- 69.43°, d 1.354, rel. 20
- 74.06°, d 1.280, rel. 12
- 75.76°, d 1.256, rel. 14